# 1
Computed powder X-ray diffraction pattern of MgTe4Mo2W2Se2S2 for λ = 1.5418 Å (Cu Kα), from a cell relaxed with GGA-PBE.

Structural model:
```
data_MgTe4Mo2W2Se2S2
_chemical_formula_sum 'Mg2 Te8 Mo4 W4 Se4 S4'
_cell_length_a 5.895
_cell_length_b 3.404
_cell_length_c 45.096
_cell_angle_alpha 90.00
_cell_angle_beta 90.01
_cell_angle_gamma 90.00
_space_group_name_H-M_alt 'C 1 m 1'
_space_group_IT_number 8
_space_group_name_Hall 'C -2y'
loop_
_atom_site_label
_atom_site_fract_x
_atom_site_fract_y
_atom_site_fract_z
Mg1 0.000 0.000 0.000
Te1 0.167 0.500 0.227
Te2 0.167 0.500 0.311
Te3 0.167 0.500 0.844
Te4 0.167 0.500 0.928
Mo1 0.167 0.500 0.457
Mo2 0.168 0.500 0.089
W1 0.334 0.000 0.269
W2 0.334 0.000 0.886
Se1 0.334 0.000 0.421
Se2 0.334 0.000 0.494
S1 0.334 0.000 0.055
S2 0.334 0.000 0.122
```

Most intense lines, 2θ = 10–90°, in order of falling intensity:
d [Å]  Position (°2θ)  Rel. int.
2.246  40.1  100
2.612  34.3  78
2.947  30.3  48
1.702  53.9  40
7.516  11.8  33
2.802  31.9  29
2.467  36.4  28
2.393  37.6  27

=====

# 2
Computed powder X-ray diffraction pattern of MgTi2Si2O8 for λ = 1.5418 Å (Cu Kα), from a cell relaxed with GGA-PBE.

Structural model:
```
data_MgTi2Si2O8
_chemical_formula_sum 'Mg2 Ti4 Si4 O16'
_cell_length_a 8.345
_cell_length_b 5.626
_cell_length_c 6.281
_cell_angle_alpha 90.00
_cell_angle_beta 94.27
_cell_angle_gamma 90.00
_space_group_name_H-M_alt 'C 1 2/m 1'
_space_group_IT_number 12
_space_group_name_Hall '-C 2y'
loop_
_atom_site_label
_atom_site_fract_x
_atom_site_fract_y
_atom_site_fract_z
Mg1 0.000 0.000 0.000
Ti1 0.000 0.500 0.000
Ti2 0.000 0.500 0.500
Si1 0.165 0.000 0.704
O1 0.038 0.230 0.744
O2 0.230 0.500 0.064
O3 0.232 0.500 0.497
```

Most intense lines, 2θ = 10–90°, in order of falling intensity:
d [Å]  Position (°2θ)  Rel. int.
2.813  31.8  100
2.093  43.2  87
3.667  24.3  84
4.161  21.4  66
3.353  26.6  62
2.551  35.2  59
1.908  47.7  57
2.651  33.8  57

=====

# 3
Computed powder X-ray diffraction pattern of TiSCl6O for λ = 1.5418 Å (Cu Kα), from a cell relaxed with GGA-PBE.

Structural model:
```
data_TiSCl6O
_chemical_formula_sum 'Ti4 S4 Cl24 O4'
_cell_length_a 7.916
_cell_length_b 10.639
_cell_length_c 12.971
_cell_angle_alpha 90.00
_cell_angle_beta 104.43
_cell_angle_gamma 90.00
_space_group_name_H-M_alt 'P 1 21/c 1'
_space_group_IT_number 14
_space_group_name_Hall '-P 2ybc'
loop_
_atom_site_label
_atom_site_fract_x
_atom_site_fract_y
_atom_site_fract_z
Ti1 0.149 0.143 0.050
S1 0.398 0.578 0.751
Cl1 0.017 0.715 0.051
Cl2 0.100 0.523 0.413
Cl3 0.183 0.238 0.207
Cl4 0.236 0.567 0.854
Cl5 0.402 0.188 0.014
Cl6 0.411 0.550 0.175
O1 0.304 0.524 0.649
```

Most intense lines, 2θ = 10–90°, in order of falling intensity:
d [Å]  Position (°2θ)  Rel. int.
6.084  14.6  100
3.042  29.4  73
5.589  15.9  67
8.119  10.9  59
3.957  22.5  55
3.219  27.7  44
2.750  32.6  38
6.220  14.2  37

=====

# 4
Computed powder X-ray diffraction pattern of HfSnO3 for λ = 1.5418 Å (Cu Kα), from a cell relaxed with GGA-PBE.

Structural model:
```
data_HfSnO3
_chemical_formula_sum 'Hf6 Sn6 O18'
_cell_length_a 5.4501
_cell_length_b 5.4501
_cell_length_c 20.2800
_cell_angle_alpha 90.00
_cell_angle_beta 90.00
_cell_angle_gamma 120.00
_space_group_name_H-M_alt 'R -3'
_space_group_IT_number 148
_space_group_name_Hall '-R 3'
loop_
_atom_site_label
_atom_site_fract_x
_atom_site_fract_y
_atom_site_fract_z
Hf1 0.0000 0.0000 0.1670
Sn1 0.0000 0.0000 0.3910
O1 0.0007 0.6516 0.5548
```

Most intense lines, 2θ = 10–90°, in order of falling intensity:
d [Å]  Position (°2θ)  Rel. int.
2.725  32.9  100
3.455  25.8  99
6.760  13.1  88
3.076  29.0  79
1.737  52.7  73
1.573  58.7  30
2.527  35.5  28
2.140  42.2  27

=====

# 5
Computed powder X-ray diffraction pattern of Rb2CrCl4 for λ = 1.5418 Å (Cu Kα), from a cell relaxed with GGA-PBE.

Structural model:
```
data_Rb2CrCl4
_chemical_formula_sum 'Rb4 Cr2 Cl8'
_cell_length_a 5.080
_cell_length_b 5.080
_cell_length_c 16.272
_cell_angle_alpha 90.00
_cell_angle_beta 90.00
_cell_angle_gamma 90.00
_space_group_name_H-M_alt 'I 4/m m m'
_space_group_IT_number 139
_space_group_name_Hall '-I 4 2'
loop_
_atom_site_label
_atom_site_fract_x
_atom_site_fract_y
_atom_site_fract_z
Rb1 0.000 0.000 0.139
Cr1 0.000 0.000 0.500
Cl1 0.000 0.000 0.350
Cl2 0.000 0.500 0.000
```

Most intense lines, 2θ = 10–90°, in order of falling intensity:
d [Å]  Position (°2θ)  Rel. int.
2.540  35.3  100
3.592  24.8  97
2.693  33.3  97
3.708  24.0  73
1.854  49.1  39
8.136  10.9  39
2.712  33.0  33
1.796  50.8  32

=====

# 6
Computed powder X-ray diffraction pattern of SrMg14Sb for λ = 1.5418 Å (Cu Kα), from a cell relaxed with GGA-PBE.

Structural model:
```
data_SrMg14Sb
_chemical_formula_sum 'Sr2 Mg28 Sb2'
_cell_length_a 10.557
_cell_length_b 6.456
_cell_length_c 11.527
_cell_angle_alpha 90.00
_cell_angle_beta 90.00
_cell_angle_gamma 90.00
_space_group_name_H-M_alt 'A m m 2'
_space_group_IT_number 38
_space_group_name_Hall 'A 2 -2'
loop_
_atom_site_label
_atom_site_fract_x
_atom_site_fract_y
_atom_site_fract_z
Sr1 0.000 0.000 0.000
Mg1 0.000 0.245 0.250
Mg2 0.248 0.000 0.667
Mg3 0.261 0.000 0.169
Mg4 0.263 0.247 0.413
Mg5 0.500 0.000 0.501
Mg6 0.500 0.000 0.999
Mg7 0.500 0.247 0.748
Sb1 0.000 0.000 0.491
```

Most intense lines, 2θ = 10–90°, in order of falling intensity:
d [Å]  Position (°2θ)  Rel. int.
2.485  36.1  100
2.529  35.5  51
2.639  34.0  38
5.059  17.5  29
2.816  31.8  28
1.492  62.2  21
1.400  66.8  19
5.763  15.4  18